1.
Theoretical powder diffractogram of Dy for λ = 1.5418 Å (Cu Kα), from the PBE geometry in OQMD.

Cell and atoms:
Cell: 8.6127 8.6127 8.6127 Å, 90.00 90.00 90.00°
Element x y z (fractional)
Dy1 0.0446 0.1250 0.7946
Dy2 0.0594 0.9406 0.4406
Dy3 0.1250 0.7946 0.0446
Dy4 0.1906 0.1906 0.1906
Dy5 0.2054 0.5446 0.3750
Dy6 0.2946 0.4554 0.8750
Dy7 0.3094 0.8094 0.6906
Dy8 0.3750 0.2054 0.5446
Dy9 0.4406 0.0594 0.9406
Dy10 0.4554 0.8750 0.2946
Dy11 0.5446 0.3750 0.2054
Dy12 0.5594 0.5594 0.5594
Dy13 0.6250 0.7054 0.9554
Dy14 0.6906 0.3094 0.8094
Dy15 0.7054 0.9554 0.6250
Dy16 0.7946 0.0446 0.1250
Dy17 0.8094 0.6906 0.3094
Dy18 0.8750 0.2946 0.4554
Dy19 0.9406 0.4406 0.0594
Dy20 0.9554 0.6250 0.7054

Peak list (8 most intense, 10° ≤ 2θ ≤ 80°, in order of falling intensity)
d [Å]	I_rel
2.871	100
2.724	57
1.689	32
2.597	27
1.599	26
1.435	9
2.302	9
2.030	8



2.
Theoretical powder diffractogram of ErTm2Cd3In3 for λ = 1.5418 Å (Cu Kα), from the PBE geometry in OQMD.

Cell and atoms:
Cell: 4.5961 7.4470 7.4470 Å, 120.08 90.00 90.00°
Element x y z (fractional)
Er1 0.0000 0.0000 0.0000
Tm1 0.0000 0.1293 0.5647
Tm2 0.0000 0.5647 0.1293
Cd1 0.5000 0.3183 0.3183
Cd2 0.5000 0.5646 0.8109
Cd3 0.5000 0.8109 0.5646
In1 0.0000 0.5641 0.5641
In2 0.5000 0.2317 0.8977
In3 0.5000 0.8977 0.2317

Peak list (8 most intense, 10° ≤ 2θ ≤ 80°, in order of falling intensity)
d [Å]	I_rel
2.639	100
2.893	62
2.437	35
2.298	29
1.672	22
1.408	18
2.152	17
1.666	15



3.
Theoretical powder diffractogram of Ho5Co2Hg for λ = 1.5418 Å (Cu Kα), from the PBE geometry in OQMD.

Cell and atoms:
Cell: 8.4999 8.4999 8.4999 Å, 127.23 127.23 77.87°
Element x y z (fractional)
Ho1 0.0000 0.0000 0.0000
Ho2 0.0283 0.5283 0.8221
Ho3 0.2062 0.0283 0.5000
Ho4 0.2938 0.7938 0.8221
Ho5 0.4717 0.2938 0.5000
Ho6 0.5000 0.5000 0.0000
Ho7 0.5283 0.7062 0.5000
Ho8 0.7062 0.2062 0.1779
Ho9 0.7938 0.9717 0.5000
Ho10 0.9717 0.4717 0.1779
Co1 0.1354 0.3646 0.5000
Co2 0.3646 0.8646 0.2291
Co3 0.6354 0.1354 0.7709
Co4 0.8646 0.6354 0.5000
Hg1 0.2500 0.2500 0.0000
Hg2 0.7500 0.7500 0.0000

Peak list (8 most intense, 10° ≤ 2θ ≤ 80°, in order of falling intensity)
d [Å]	I_rel
2.681	100
2.389	90
2.488	66
2.811	56
3.273	40
1.568	34
1.690	31
1.359	28